Sr2AlGaFe2O7: theoretical powder XRD pattern (copper Kα), based on a DFT-relaxed cell (GGA+U, Alexandria).

Crystal structure
```
Sr2AlGaFe2O7
1.0
11.4017 -2.8736 0.0000
11.4017 2.8736 0.0000
-1.3142 0.0000 5.3547
Sr Al Ga Fe O
4 2 2 4 14
Cartesian
10.7446 1.5904 2.6773
14.9968 1.5830 3.7350
11.4017 -1.5904 0.0000
15.6539 -1.5830 1.0576
7.4423 1.4541 1.8971
6.7852 -1.4541 4.5745
13.5809 1.0343 0.4154
12.9238 -1.0343 3.0928
5.3594 1.4636 4.2074
8.0849 1.3965 4.8837
6.0165 -1.4636 1.5300
8.7420 -1.3965 2.2063
6.5792 0.5118 0.6121
11.8952 1.7788 0.3717
8.4917 0.5015 3.0841
15.1740 1.7191 1.1035
5.9221 -0.5118 3.2895
12.6900 0.6512 3.9458
9.1488 -0.5015 0.4068
16.7113 0.5454 5.1849
13.3471 -0.6512 1.2685
19.5838 0.4320 3.8984
11.2381 -1.7788 3.0490
17.3684 -0.5454 2.5076
14.5169 -1.7191 3.7808
20.2409 -0.4320 1.2210
```

The 10 most intense peaks (10° ≤ 2θ ≤ 90°), in order of rising 2θ:
2θ = 27.61°, d 3.231, rel. 49
2θ = 31.12°, d 2.874, rel. 47
2θ = 32.48°, d 2.757, rel. 49
2θ = 33.10°, d 2.706, rel. 100
2θ = 39.67°, d 2.272, rel. 15
2θ = 40.75°, d 2.214, rel. 27
2θ = 45.60°, d 1.989, rel. 40
2θ = 56.65°, d 1.625, rel. 18
2θ = 58.26°, d 1.584, rel. 14
2θ = 62.69°, d 1.482, rel. 16